Calculated X-ray powder pattern
Compound: EuGe2Rh2
Radiation: Cu Kα, 1.54184 Å
Structure: a structure optimized by DFT (PBE)

Most intense lines, 10° ≤ 2θ ≤ 80°, in order of falling intensity:
| Position (°2θ) | I_rel | index |
| --- | --- | --- |
| 34.54 | 100 | 1 1 2 |
| 32.96 | 63 | 1 0 3 |
| 43.05 | 56 | 2 0 0 |
| 55.26 | 29 | 2 1 3 |
| 60.60 | 22 | 1 1 6 |
| 73.43 | 22 | 3 1 2 |

Structural model:
```
data_EuGe2Rh2
_chemical_formula_sum 'Eu2 Ge4 Rh4'
_cell_length_a 4.202
_cell_length_b 4.202
_cell_length_c 10.691
_cell_angle_alpha 90.00
_cell_angle_beta 90.00
_cell_angle_gamma 90.00
_space_group_name_H-M_alt 'I 4/m m m'
_space_group_IT_number 139
_space_group_name_Hall '-I 4 2'
loop_
_atom_site_label
_atom_site_type_symbol
_atom_site_fract_x
_atom_site_fract_y
_atom_site_fract_z
Eu1 Eu 0.000 0.000 0.000
Ge1 Ge 0.000 0.000 0.371
Rh1 Rh 0.000 0.500 0.250
```